# 1
# AlPO4
Simulated powder X-ray diffraction pattern, a wavelength of 1.5418 Å. Input: a DFT-relaxed cell (GGA-PBE, the Materials Project).
Lines closer than 0.1° are merged.

Main lines, sorted by position (2θ from 10° to 90°):
2θ 12.73, rel. 97; 2θ 15.85, rel. 43; 2θ 17.72, rel. 50; 2θ 20.38, rel. 100; 2θ 24.84, rel. 35; 2θ 25.61, rel. 28; 2θ 30.26, rel. 49; 2θ 30.68, rel. 14; 2θ 30.87, rel. 24; 2θ 34.10, rel. 14

Crystal structure
Cell: 9.464 9.464 9.464 Å, 94.61 94.61 94.61°
Element x y z (fractional)
Al  0.167  0.399  0.623
Al  0.377  0.833  0.601
Al  0.399  0.623  0.167
Al  0.601  0.377  0.833
Al  0.623  0.167  0.399
Al  0.833  0.601  0.377
P  0.166  0.621  0.389
P  0.379  0.611  0.834
P  0.389  0.166  0.621
P  0.611  0.834  0.379
P  0.621  0.389  0.166
P  0.834  0.379  0.611
O  0.010  0.644  0.347
O  0.177  0.484  0.466
O  0.233  0.751  0.487
O  0.243  0.606  0.253
O  0.249  0.513  0.767
O  0.253  0.243  0.606
O  0.347  0.010  0.644
O  0.356  0.653  0.990
O  0.394  0.747  0.757
O  0.466  0.177  0.484
O  0.484  0.466  0.177
O  0.487  0.233  0.751
O  0.513  0.767  0.249
O  0.516  0.534  0.823
O  0.534  0.823  0.516
O  0.606  0.253  0.243
O  0.644  0.347  0.010
O  0.653  0.990  0.356
O  0.747  0.757  0.394
O  0.751  0.487  0.233
O  0.757  0.394  0.747
O  0.767  0.249  0.513
O  0.823  0.516  0.534
O  0.990  0.356  0.653

***

# 2
# KNp2Se6
Simulated powder X-ray diffraction pattern, a wavelength of 1.5418 Å. Input: a DFT-relaxed cell (GGA-PBE, the Materials Project).
Lines closer than 0.1° are merged.

Main lines, sorted by position (2θ from 10° to 90°):
2θ 20.22, rel. 63; 2θ 24.86, rel. 25; 2θ 29.85, rel. 100; 2θ 33.53, rel. 24; 2θ 36.81, rel. 34; 2θ 39.55, rel. 33; 2θ 41.32, rel. 43; 2θ 43.07, rel. 30; 2θ 43.98, rel. 23; 2θ 48.86, rel. 25

Crystal structure
Cell: 11.424 11.424 11.424 Å, 159.23 152.07 35.06°
Element x y z (fractional)
K  0.000  0.000  0.000
Np  0.319  0.819  0.500
Np  0.681  0.181  0.500
Se  0.154  0.394  0.760
Se  0.226  0.226  0.000
Se  0.366  0.606  0.760
Se  0.634  0.394  0.240
Se  0.774  0.774  0.000
Se  0.846  0.606  0.240

***

# 3
# KPH2O3
Simulated powder X-ray diffraction pattern, a wavelength of 1.5418 Å. Input: a DFT-relaxed cell (GGA-PBE, the Materials Project).
Lines closer than 0.1° are merged.

Main lines, sorted by position (2θ from 10° to 90°):
2θ 12.34, rel. 15; 2θ 15.95, rel. 10; 2θ 22.55, rel. 57; 2θ 24.82, rel. 100; 2θ 28.29, rel. 20; 2θ 30.36, rel. 11; 2θ 32.22, rel. 29; 2θ 33.50, rel. 9; 2θ 35.29, rel. 13; 2θ 42.44, rel. 8

Crystal structure
Cell: 7.982 8.721 12.775 Å, 90.00 98.96 90.00°
Element x y z (fractional)
K  0.031  0.049  0.259
K  0.031  0.451  0.759
K  0.469  0.224  0.984
K  0.469  0.276  0.484
K  0.531  0.724  0.516
K  0.531  0.776  0.016
K  0.969  0.549  0.241
K  0.969  0.951  0.741
P  0.047  0.693  0.512
P  0.047  0.807  0.012
P  0.452  0.001  0.243
P  0.452  0.499  0.743
P  0.548  0.501  0.257
P  0.548  0.999  0.757
P  0.953  0.193  0.988
P  0.953  0.307  0.488
H  0.146  0.093  0.504
H  0.146  0.407  0.004
H  0.168  0.011  0.495
H  0.168  0.489  0.995
H  0.337  0.624  0.726
H  0.337  0.876  0.226
H  0.361  0.160  0.689
H  0.361  0.340  0.189
H  0.639  0.660  0.811
H  0.639  0.840  0.311
H  0.663  0.124  0.774
H  0.663  0.376  0.274
H  0.832  0.511  0.005
H  0.832  0.989  0.505
H  0.854  0.593  0.996
H  0.854  0.907  0.496
O  0.060  0.707  0.629
O  0.060  0.793  0.129
O  0.110  0.125  0.053
O  0.110  0.375  0.553
O  0.183  0.741  0.956
O  0.183  0.759  0.456
O  0.366  0.135  0.289
O  0.366  0.365  0.789
O  0.406  0.066  0.661
O  0.406  0.434  0.161
O  0.469  0.521  0.355
O  0.469  0.979  0.855
O  0.531  0.021  0.145
O  0.531  0.479  0.645
O  0.594  0.566  0.839
O  0.594  0.934  0.339
O  0.634  0.635  0.211
O  0.634  0.865  0.711
O  0.817  0.241  0.544
O  0.817  0.259  0.044
O  0.890  0.625  0.447
O  0.890  0.875  0.947
O  0.940  0.207  0.871
O  0.940  0.293  0.371